[1]
Diffraction record for CaHF6. The powder X-ray diffraction pattern is simulated, not measured: it uses a PBE-relaxed structure and CuKα.

The 10 most intense peaks (2θ from 10° to 90°), in order of rising 2θ:
two_theta	I (rel.)
14.47	100
15.98	44
23.69	23
27.98	26
30.81	12
37.11	22
38.07	18
43.50	31
50.44	10
51.10	10

Atomic structure:
Unit cell a=3.807 b=5.876 c=6.404 alpha=72.94 beta=87.64 gamma=80.55
Element x y z (fractional)
1 Ca 0.000 0.000 0.000
2 H 0.000 0.000 0.500
3 F 0.096 0.057 0.324
4 F 0.125 0.428 0.923
5 F 0.461 0.209 0.820
6 F 0.539 0.791 0.180
7 F 0.875 0.572 0.077
8 F 0.904 0.943 0.676

***

[2]
Diffraction record for PrMg2Cu9. The powder X-ray diffraction pattern is simulated, not measured: it uses a PBE-relaxed structure and CuKα.

The 10 most intense peaks (2θ from 10° to 90°), in order of rising 2θ:
two_theta	I (rel.)
11.06	32
26.17	22
34.59	20
35.13	21
41.19	40
41.96	100
44.33	16
45.35	28
67.71	22
74.24	20

Atomic structure:
Unit cell a=5.110 b=5.110 c=15.998 alpha=90.00 beta=90.00 gamma=120.00
Element x y z (fractional)
1 Pr 0.333 0.667 0.250
2 Pr 0.667 0.333 0.750
3 Mg 0.333 0.667 0.031
4 Mg 0.333 0.667 0.469
5 Mg 0.667 0.333 0.531
6 Mg 0.667 0.333 0.969
7 Cu 0.000 0.000 0.000
8 Cu 0.000 0.000 0.250
9 Cu 0.000 0.000 0.500
10 Cu 0.000 0.000 0.750
11 Cu 0.169 0.337 0.622
12 Cu 0.169 0.337 0.878
13 Cu 0.169 0.831 0.622
14 Cu 0.169 0.831 0.878
15 Cu 0.333 0.667 0.750
16 Cu 0.337 0.169 0.122
17 Cu 0.337 0.169 0.378
18 Cu 0.663 0.831 0.622
19 Cu 0.663 0.831 0.878
20 Cu 0.667 0.333 0.250
21 Cu 0.831 0.169 0.122
22 Cu 0.831 0.169 0.378
23 Cu 0.831 0.663 0.122
24 Cu 0.831 0.663 0.378

***

[3]
Diffraction record for Ho3In2Cu. The powder X-ray diffraction pattern is simulated, not measured: it uses a PBE-relaxed structure and CuKα.

The 10 most intense peaks (2θ from 10° to 90°), in order of rising 2θ:
two_theta	I (rel.)
29.58	7
34.10	100
36.30	47
45.54	8
52.28	16
59.58	15
63.91	32
71.81	8
87.04	7
88.31	7

Atomic structure:
Unit cell a=3.500 b=3.500 c=11.952 alpha=90.00 beta=90.00 gamma=90.00
Element x y z (fractional)
1 Ho 0.000 0.000 0.000
2 Ho 0.000 0.000 0.357
3 Ho 0.000 0.000 0.643
4 In 0.500 0.500 0.179
5 In 0.500 0.500 0.821
6 Cu 0.500 0.500 0.500

***

[4]
Diffraction record for Dy14YPu. The powder X-ray diffraction pattern is simulated, not measured: it uses a PBE-relaxed structure and CuKα.

The 10 most intense peaks (2θ from 10° to 90°), in order of rising 2θ:
two_theta	I (rel.)
28.60	24
31.83	24
32.81	100
43.31	16
50.65	20
57.34	20
61.07	23
61.68	16
83.77	14
88.13	8

Atomic structure:
Unit cell a=11.247 b=7.207 c=7.207 alpha=60.05 beta=90.00 gamma=90.00
Element x y z (fractional)
1 Dy 0.000 0.000 0.000
2 Dy 0.000 0.000 0.500
3 Dy 0.000 0.500 0.000
4 Dy 0.000 0.500 0.500
5 Dy 0.248 0.333 0.333
6 Dy 0.252 0.330 0.835
7 Dy 0.252 0.835 0.330
8 Dy 0.253 0.835 0.835
9 Dy 0.500 0.000 0.500
10 Dy 0.500 0.500 0.000
11 Dy 0.747 0.835 0.835
12 Dy 0.748 0.330 0.835
13 Dy 0.748 0.835 0.330
14 Dy 0.752 0.333 0.333
15 Y 0.500 0.500 0.500
16 Pu 0.500 0.000 0.000

***

[5]
Diffraction record for Sc3TlRh4. The powder X-ray diffraction pattern is simulated, not measured: it uses a PBE-relaxed structure and CuKα.

The 10 most intense peaks (2θ from 10° to 90°), in order of rising 2θ:
two_theta	I (rel.)
39.01	100
39.74	24
40.09	23
54.96	9
57.73	15
69.94	9
70.18	9
71.65	16
72.12	16
83.80	10

Atomic structure:
Unit cell a=3.341 b=4.498 c=9.072 alpha=90.00 beta=90.00 gamma=90.00
Element x y z (fractional)
1 Sc 0.000 0.000 0.000
2 Sc 0.000 0.500 0.253
3 Sc 0.000 0.500 0.747
4 Tl 0.000 0.000 0.500
5 Rh 0.500 0.000 0.243
6 Rh 0.500 0.000 0.757
7 Rh 0.500 0.500 0.000
8 Rh 0.500 0.500 0.500

***

[6]
Diffraction record for PuAgPd2. The powder X-ray diffraction pattern is simulated, not measured: it uses a PBE-relaxed structure and CuKα.

The 10 most intense peaks (2θ from 10° to 90°), in order of rising 2θ:
two_theta	I (rel.)
20.19	10
30.56	7
36.90	100
41.03	37
46.37	13
59.43	12
63.62	20
72.04	28
78.54	11
79.65	11

Atomic structure:
Unit cell a=4.399 b=4.399 c=3.916 alpha=90.00 beta=90.00 gamma=90.00
Element x y z (fractional)
1 Pu 0.000 0.000 0.000
2 Ag 0.500 0.500 0.000
3 Pd 0.000 0.500 0.500
4 Pd 0.500 0.000 0.500

***

[7]
Diffraction record for Pr6Zn5Si. The powder X-ray diffraction pattern is simulated, not measured: it uses a PBE-relaxed structure and CuKα.

The 10 most intense peaks (2θ from 10° to 90°), in order of rising 2θ:
two_theta	I (rel.)
24.02	21
34.20	100
34.39	20
49.05	7
49.26	14
61.17	21
61.27	7
61.48	14
72.04	11
82.08	6

Atomic structure:
Unit cell a=8.294 b=8.294 c=7.429 alpha=90.00 beta=90.00 gamma=143.34
Element x y z (fractional)
1 Pr 0.000 0.000 0.241
2 Pr 0.000 0.000 0.759
3 Pr 0.337 0.663 0.247
4 Pr 0.337 0.663 0.753
5 Pr 0.663 0.337 0.247
6 Pr 0.663 0.337 0.753
7 Zn 0.168 0.832 0.500
8 Zn 0.176 0.824 0.000
9 Zn 0.500 0.500 0.500
10 Zn 0.824 0.176 0.000
11 Zn 0.832 0.168 0.500
12 Si 0.500 0.500 0.000

***

[8]
Diffraction record for LaSmSe. The powder X-ray diffraction pattern is simulated, not measured: it uses a PBE-relaxed structure and CuKα.

The 10 most intense peaks (2θ from 10° to 90°), in order of rising 2θ:
two_theta	I (rel.)
25.68	85
26.33	55
28.02	46
30.64	100
33.45	58
34.14	47
34.92	37
37.11	41
39.91	60
40.74	35

Atomic structure:
Unit cell a=7.125 b=7.125 c=7.755 alpha=90.00 beta=90.00 gamma=103.14
Element x y z (fractional)
1 La 0.205 0.205 0.000
2 La 0.295 0.295 0.500
3 La 0.705 0.705 0.500
4 La 0.795 0.795 0.000
5 Sm 0.202 0.798 0.664
6 Sm 0.298 0.702 0.164
7 Sm 0.702 0.298 0.836
8 Sm 0.798 0.202 0.336
9 Se 0.064 0.936 0.303
10 Se 0.436 0.564 0.803
11 Se 0.564 0.436 0.197
12 Se 0.936 0.064 0.697

***

[9]
Diffraction record for Pu2MgPb3. The powder X-ray diffraction pattern is simulated, not measured: it uses a PBE-relaxed structure and CuKα.

The 10 most intense peaks (2θ from 10° to 90°), in order of rising 2θ:
two_theta	I (rel.)
10.09	64
10.95	34
30.61	56
33.27	69
34.39	24
34.73	100
34.86	99
50.75	31
51.43	21
60.30	22

Atomic structure:
Unit cell a=9.771 b=9.771 c=3.553 alpha=100.23 beta=100.23 gamma=64.51
Element x y z (fractional)
1 Pu 0.101 0.242 0.421
2 Pu 0.242 0.101 0.921
3 Pu 0.758 0.899 0.079
4 Pu 0.899 0.758 0.579
5 Mg 0.380 0.620 0.750
6 Mg 0.620 0.380 0.250
7 Pb 0.129 0.871 0.250
8 Pb 0.191 0.482 0.084
9 Pb 0.482 0.191 0.584
10 Pb 0.518 0.809 0.416
11 Pb 0.809 0.518 0.916
12 Pb 0.871 0.129 0.750

***

[10]
Diffraction record for HoNpTe2O. The powder X-ray diffraction pattern is simulated, not measured: it uses a PBE-relaxed structure and CuKα.

The 10 most intense peaks (2θ from 10° to 90°), in order of rising 2θ:
two_theta	I (rel.)
11.50	22
23.12	20
27.63	49
30.43	100
31.70	26
36.33	57
38.56	27
43.57	42
57.98	30
71.86	18

Atomic structure:
Unit cell a=4.155 b=4.155 c=15.389 alpha=90.00 beta=90.00 gamma=90.00
Element x y z (fractional)
1 Ho 0.250 0.250 0.127
2 Ho 0.750 0.750 0.873
3 Np 0.250 0.250 0.571
4 Np 0.750 0.750 0.429
5 Te 0.250 0.250 0.318
6 Te 0.250 0.250 0.913
7 Te 0.750 0.750 0.087
8 Te 0.750 0.750 0.682
9 O 0.250 0.750 0.500
10 O 0.750 0.250 0.500

***

[11]
Diffraction record for Zn2ReHgRh. The powder X-ray diffraction pattern is simulated, not measured: it uses a PBE-relaxed structure and CuKα.

The 10 most intense peaks (2θ from 10° to 90°), in order of rising 2θ:
two_theta	I (rel.)
26.98	53
32.19	100
34.87	46
38.52	70
44.63	28
52.93	55
55.61	24
60.84	16
65.73	26
67.34	27

Atomic structure:
Unit cell a=4.674 b=4.674 c=5.146 alpha=90.00 beta=90.00 gamma=90.00
Element x y z (fractional)
1 Zn 0.000 0.500 0.000
2 Zn 0.500 0.000 0.000
3 Re 0.000 0.000 0.500
4 Hg 0.500 0.500 0.500
5 Rh 0.500 0.500 0.000

***

[12]
Diffraction record for Nd5IrS4. The powder X-ray diffraction pattern is simulated, not measured: it uses a PBE-relaxed structure and CuKα.

The 10 most intense peaks (2θ from 10° to 90°), in order of rising 2θ:
two_theta	I (rel.)
12.20	8
21.88	7
26.61	28
30.82	100
44.15	73
52.29	14
54.80	27
64.21	12
72.91	33
81.22	24

Atomic structure:
Unit cell a=14.801 b=14.801 c=14.801 alpha=164.07 beta=164.07 gamma=22.60
Element x y z (fractional)
1 Nd 0.000 0.000 0.000
2 Nd 0.203 0.203 0.000
3 Nd 0.402 0.402 0.000
4 Nd 0.598 0.598 0.000
5 Nd 0.797 0.797 0.000
6 Ir 0.500 0.500 0.000
7 S 0.103 0.103 0.000
8 S 0.302 0.302 0.000
9 S 0.698 0.698 0.000
10 S 0.897 0.897 0.000